Entry 1:
This entry pairs a crystal structure of Rb4MgSe4O14 with its simulated powder diffraction line list. Radiation: Cu Kα, 1.54184 Å. Structure: the GGA-PBE geometry in the Materials Project.
Intensities are scaled so that the largest is 100.

Top 10 peaks for 2θ from 5° to 70°, low angle first:
16.28°, I 24, hkl 0 1 1
21.90°, I 48, hkl 1 2 0
24.67°, I 39, hkl 1 2 -1
24.89°, I 100, hkl 1 0 2
25.26°, I 81, hkl 2 0 0
25.42°, I 82, hkl 1 0 -2
26.80°, I 46, hkl 0 2 1
28.08°, I 26, hkl 2 2 1
28.65°, I 25, hkl 2 2 -1
39.44°, I 26, hkl 1 2 3

a b c (Å): 7.8917 8.1402 8.1882
angles (deg): 89.04 88.30 63.35
Space group P1 (No. 1)
One atom of each set of equivalent atoms:
1 Rb 0.0000 0.0000 0.0000 x1
2 Rb 0.0655 0.2406 0.4056 x1
3 Rb 0.5352 0.0954 0.7128 x1
4 Rb 0.6161 0.7059 0.1792 x1
5 Mg 0.9373 0.5866 0.6835 x1
6 Se 0.1204 0.4371 0.9623 x1
7 Se 0.1539 0.7745 0.4949 x1
8 Se 0.5308 0.5989 0.7257 x1
9 Se 0.5683 0.1815 0.2449 x1
10 O 0.0250 0.6595 0.4752 x1
11 O 0.0629 0.9352 0.6340 x1
12 O 0.1243 0.3440 0.7655 x1
13 O 0.2244 0.8326 0.3240 x1
14 O 0.3637 0.5819 0.5872 x1
15 O 0.4208 0.7720 0.8513 x1
16 O 0.4329 0.4073 0.2298 x1
17 O 0.4672 0.0848 0.3741 x1
18 O 0.5989 0.0753 0.0629 x1
19 O 0.6291 0.3914 0.8015 x1
20 O 0.6821 0.6401 0.6007 x1
21 O 0.7838 0.1354 0.3148 x1
22 O 0.9477 0.6620 0.9082 x1
23 O 0.9974 0.3578 0.0834 x1



Entry 2:
This entry pairs a crystal structure of SrCu4Sn2 with its simulated powder diffraction line list. Radiation: Cu Kα, 1.54184 Å. Structure: the GGA-PBE geometry in the Materials Project.
Intensities are scaled so that the largest is 100.

Top 10 peaks for 2θ from 5° to 70°, low angle first:
15.26°, I 21, hkl 1 1 0
26.82°, I 12, hkl 2 1 1
27.47°, I 11, hkl 1 1 2
31.57°, I 23, hkl 2 0 2
34.55°, I 79, hkl 3 1 0
42.48°, I 100, hkl 2 1 3
44.12°, I 16, hkl 4 0 0
46.95°, I 15, hkl 3 3 0
52.76°, I 11, hkl 3 3 2
58.27°, I 12, hkl 4 1 3

a b c (Å): 8.2100 8.2100 7.8339
angles (deg): 90.00 90.00 90.00
Space group I4/mcm (No. 140)
One atom of each set of equivalent atoms:
1 Sr 0.0000 0.0000 0.2500 x4
2 Cu 0.1356 0.3644 0.1610 x16
3 Sn 0.1606 0.3394 0.5000 x8



Entry 3:
This entry pairs a crystal structure of Li3BiB2O6 with its simulated powder diffraction line list. Radiation: Cu Kα, 1.54184 Å. Structure: the GGA-PBE geometry in the Materials Project.
Intensities are scaled so that the largest is 100.

Top 10 peaks for 2θ from 5° to 70°, low angle first:
13.65°, I 44, hkl 0 1 1
15.65°, I 94, hkl 1 0 0
17.22°, I 91, hkl 1 0 -2
20.35°, I 70, hkl 0 1 2
22.90°, I 100, hkl 0 2 1
25.44°, I 62, hkl 1 2 -1
28.14°, I 59, hkl 2 0 -2
28.28°, I 40, hkl 0 1 3
37.32°, I 35, hkl 2 2 -3
48.21°, I 31, hkl 3 2 -3

a b c (Å): 6.3779 8.3967 11.5071
angles (deg): 90.00 117.38 90.00
Space group P2_1/c (No. 14)
One atom of each set of equivalent atoms:
1 Li 0.0141 0.2049 0.0724 x4
2 Li 0.2942 0.5611 0.1181 x4
3 Li 0.4402 0.7319 0.3687 x4
4 Bi 0.1009 0.1233 0.8327 x4
5 B 0.1977 0.0499 0.3983 x4
6 B 0.3726 0.5961 0.6371 x4
7 O 0.1379 0.1059 0.2708 x4
8 O 0.1547 0.6078 0.9137 x4
9 O 0.2262 0.5391 0.5137 x4
10 O 0.2783 0.1580 0.5013 x4
11 O 0.2865 0.7178 0.6858 x4
12 O 0.4013 0.0334 0.7904 x4



Entry 4:
This entry pairs a crystal structure of CrN2 with its simulated powder diffraction line list. Radiation: Cu Kα, 1.54184 Å. Structure: the GGA-PBE geometry in the Materials Project.
Intensities are scaled so that the largest is 100.

Top 10 peaks for 2θ from 5° to 70°, low angle first:
13.32°, I 40, hkl 0 0 1
18.57°, I 36, hkl 1 0 0
21.61°, I 42, hkl 0 1 -1
22.09°, I 44, hkl 1 0 -1
22.95°, I 29, hkl 0 1 1
24.67°, I 100, hkl -1 1 1
24.98°, I 65, hkl 1 -1 1
30.03°, I 75, hkl 1 1 0
31.41°, I 39, hkl 0 1 -2
33.99°, I 46, hkl 1 0 2

a b c (Å): 5.0976 5.3142 6.6704
angles (deg): 92.21 93.24 109.95
Space group P1 (No. 1)
One atom of each set of equivalent atoms:
1 Cr 0.0000 0.0000 0.0000 x1
2 Cr 0.1043 0.8005 0.5658 x1
3 Cr 0.3078 0.5871 0.9434 x1
4 Cr 0.5810 0.2876 0.2966 x1
5 N 0.0010 0.0088 0.7483 x1
6 N 0.1283 0.7685 0.0786 x1
7 N 0.2446 0.5890 0.6716 x1
8 N 0.3246 0.3195 0.0904 x1
9 N 0.3572 0.0439 0.4432 x1
10 N 0.6228 0.7878 0.9840 x1
11 N 0.7969 0.1726 0.1812 x1
12 N 0.8020 0.5905 0.4220 x1



Entry 5:
This entry pairs a crystal structure of Pu2O3 with its simulated powder diffraction line list. Radiation: Cu Kα, 1.54184 Å. Structure: the GGA-PBE geometry in the Materials Project.
Intensities are scaled so that the largest is 100.

Top 10 peaks for 2θ from 5° to 70°, low angle first:
28.39°, I 100, hkl 1 0 1
32.69°, I 13, hkl 0 0 2
33.01°, I 27, hkl 1 1 0
47.14°, I 30, hkl 1 1 2
47.38°, I 15, hkl 2 0 0
55.74°, I 15, hkl 1 0 3
56.16°, I 31, hkl 2 1 1
58.75°, I 11, hkl 2 0 2
68.51°, I 2, hkl 0 0 4
69.24°, I 5, hkl 2 2 0

a b c (Å): 3.8378 3.8378 5.4787
angles (deg): 90.00 90.00 90.00
Space group P-4m2 (No. 115)
One atom of each set of equivalent atoms:
1 Pu 0.0000 0.5000 0.2339 x2
2 O 0.0000 0.0000 0.0000 x1
3 O 0.0000 0.0000 0.5000 x1
4 O 0.5000 0.5000 0.0000 x1



Entry 6:
This entry pairs a crystal structure of Ti2ReRh with its simulated powder diffraction line list. Radiation: Cu Kα, 1.54184 Å. Structure: the GGA-PBE geometry in the Materials Project.
Intensities are scaled so that the largest is 100.

Top 8 peaks for 2θ from 5° to 70°, low angle first:
24.78°, I 10, hkl 1 1 1
28.69°, I 33, hkl 2 0 0
41.02°, I 100, hkl 2 2 0
48.51°, I 5, hkl 3 1 1
50.82°, I 10, hkl 2 2 2
59.40°, I 16, hkl 4 0 0
65.36°, I 2, hkl 3 3 1
67.28°, I 13, hkl 4 2 0

a b c (Å): 6.2235 6.2235 6.2235
angles (deg): 90.00 90.00 90.00
Space group Fm-3m (No. 225)
One atom of each set of equivalent atoms:
1 Ti 0.2500 0.2500 0.2500 x8
2 Re 0.0000 0.0000 0.0000 x4
3 Rh 0.0000 0.0000 0.5000 x4



Entry 7:
This entry pairs a crystal structure of Sr2YCu2AgO7 with its simulated powder diffraction line list. Radiation: Cu Kα, 1.54184 Å. Structure: the GGA-PBE geometry in the Materials Project.
Intensities are scaled so that the largest is 100.

Top 10 peaks for 2θ from 5° to 70°, low angle first:
27.76°, I 6, hkl 4 1 1
32.45°, I 100, hkl 6 1 1
33.34°, I 62, hkl 0 2 0
37.35°, I 8, hkl 10 0 0
38.14°, I 10, hkl 8 1 1
45.22°, I 16, hkl 12 0 0
47.87°, I 33, hkl 0 2 2
57.31°, I 18, hkl 12 2 0
59.02°, I 39, hkl 6 1 3
67.95°, I 9, hkl 12 2 2

a b c (Å): 24.0755 5.3727 5.3760
angles (deg): 90.00 90.00 90.00
Space group Ima2 (No. 46)
One atom of each set of equivalent atoms:
1 Sr 0.1512 0.0008 0.0000 x8
2 Y 0.0000 0.0000 0.9927 x4
3 Cu 0.0734 0.9995 0.4947 x8
4 Ag 0.2500 0.0166 0.4873 x4
5 O 0.0605 0.2505 0.2440 x8
6 O 0.0602 0.7482 0.7430 x8
7 O 0.1630 0.0015 0.4991 x8
8 O 0.2500 0.0381 0.0643 x4



Entry 8:
This entry pairs a crystal structure of CsSn with its simulated powder diffraction line list. Radiation: Cu Kα, 1.54184 Å. Structure: the GGA-PBE geometry in the Materials Project.
Intensities are scaled so that the largest is 100.

Top 10 peaks for 2θ from 5° to 70°, low angle first:
13.39°, I 32, hkl 1 1 2
22.73°, I 24, hkl 2 0 4
26.37°, I 100, hkl 3 2 1
27.33°, I 91, hkl 2 1 5
28.89°, I 40, hkl 4 0 0
30.25°, I 34, hkl 4 0 2
34.30°, I 24, hkl 3 2 5
46.11°, I 27, hkl 1 1 10
49.69°, I 24, hkl 6 3 1
50.82°, I 27, hkl 5 2 7

a b c (Å): 12.3596 12.3596 20.2133
angles (deg): 90.00 90.00 90.00
Space group I4_1/acd (No. 142, origin choice 2)
One atom of each set of equivalent atoms:
1 Cs 0.1210 0.1290 0.1250 x16
2 Cs 0.1405 0.0000 0.7500 x16
3 Sn 0.0615 0.1458 0.9276 x32



Repeat the sixth record exactly.
This entry pairs a crystal structure of Ti2ReRh with its simulated powder diffraction line list. Radiation: Cu Kα, 1.54184 Å. Structure: the GGA-PBE geometry in the Materials Project.
Intensities are scaled so that the largest is 100.

Top 8 peaks for 2θ from 5° to 70°, low angle first:
24.78°, I 10, hkl 1 1 1
28.69°, I 33, hkl 2 0 0
41.02°, I 100, hkl 2 2 0
48.51°, I 5, hkl 3 1 1
50.82°, I 10, hkl 2 2 2
59.40°, I 16, hkl 4 0 0
65.36°, I 2, hkl 3 3 1
67.28°, I 13, hkl 4 2 0

a b c (Å): 6.2235 6.2235 6.2235
angles (deg): 90.00 90.00 90.00
Space group Fm-3m (No. 225)
One atom of each set of equivalent atoms:
1 Ti 0.2500 0.2500 0.2500 x8
2 Re 0.0000 0.0000 0.0000 x4
3 Rh 0.0000 0.0000 0.5000 x4